No. 1
Computed powder diffraction line list of AgH3C2S2 for CuKα, from the GGA-PBE geometry in OQMD.

Largest 10 diffraction maxima, sorted by position, 2θ = 10–80°:
hkl 0 1 1, d 4.861, I 100
hkl 1 1 -1, d 4.517, I 48
hkl 2 1 -1, d 3.562, I 36
hkl 0 1 2, d 3.312, I 52
hkl 2 1 1, d 3.192, I 41
hkl 1 1 2, d 2.983, I 75
hkl 1 2 1, d 2.703, I 64
hkl 3 0 -2, d 2.674, I 36
hkl 2 2 1, d 2.382, I 37
hkl 1 2 -3, d 2.009, I 36

Structural model:
Unit cell a=9.458 b=6.196 c=7.964 alpha=90.00 beta=100.18 gamma=90.00
Sites, in units of the cell vectors:
Ag1 0.106 0.124 0.125
Ag2 0.106 0.376 0.625
Ag3 0.894 0.624 0.375
Ag4 0.894 0.876 0.875
H1 0.361 0.666 0.668
H2 0.361 0.834 0.168
H3 0.397 0.554 0.137
H4 0.397 0.946 0.637
H5 0.478 0.684 0.328
H6 0.478 0.816 0.828
H7 0.522 0.184 0.172
H8 0.522 0.316 0.672
H9 0.603 0.054 0.363
H10 0.603 0.446 0.863
H11 0.639 0.166 0.832
H12 0.639 0.334 0.332
C1 0.255 0.613 0.316
C2 0.255 0.887 0.816
C3 0.379 0.677 0.231
C4 0.379 0.823 0.731
C5 0.621 0.177 0.269
C6 0.621 0.323 0.769
C7 0.745 0.113 0.184
C8 0.745 0.387 0.684
S1 0.126 0.703 0.830
S2 0.126 0.797 0.330
S3 0.259 0.140 0.900
S4 0.259 0.360 0.400
S5 0.741 0.640 0.600
S6 0.741 0.860 0.100
S7 0.874 0.203 0.670
S8 0.874 0.297 0.170

No. 2
Computed powder diffraction line list of TaAl2Pd5 for CuKα, from the GGA-PBE geometry in OQMD.

Largest 10 diffraction maxima, sorted by position, 2θ = 10–80°:
hkl 0 0 2, d 7.325, I 26
hkl 1 1 2, d 2.662, I 21
hkl 0 0 6, d 2.442, I 7
hkl 1 1 4, d 2.253, I 100
hkl 2 0 0, d 2.021, I 37
hkl 0 0 8, d 1.831, I 12
hkl 2 0 6, d 1.557, I 7
hkl 2 2 0, d 1.429, I 12
hkl 2 0 8, d 1.357, I 18
hkl 3 1 4, d 1.207, I 26

Structural model:
Unit cell a=4.041 b=4.041 c=14.650 alpha=90.00 beta=90.00 gamma=90.00
Sites, in units of the cell vectors:
Ta1 0.000 0.000 0.000
Ta2 0.500 0.500 0.500
Al1 0.000 0.000 0.254
Al2 0.000 0.000 0.746
Al3 0.500 0.500 0.246
Al4 0.500 0.500 0.754
Pd1 0.000 0.000 0.500
Pd2 0.000 0.500 0.133
Pd3 0.000 0.500 0.367
Pd4 0.000 0.500 0.633
Pd5 0.000 0.500 0.867
Pd6 0.500 0.000 0.133
Pd7 0.500 0.000 0.367
Pd8 0.500 0.000 0.633
Pd9 0.500 0.000 0.867
Pd10 0.500 0.500 0.000